# CePm3Rh3
Theoretical XRD peak list, copper Kα. Input: the PBE geometry in Alexandria.

Principal peaks in the range 2θ from 10° to 90°, sorted by position:
2θ/deg	intensity	index
29.35	45	4 0 0
29.90	67	1 1 3
32.56	45	2 1 3
33.50	25	3 1 2
36.61	100	4 1 0
36.95	27	2 1 4
39.19	30	0 1 5
43.60	56	0 2 0

Atomic structure:
Lattice parameters (Å, degrees): 12.174 4.152 13.806 90.00 90.00 90.00
Space group Pnma (No. 62)
Unique sites:
Ce: 0.027 0.250 0.183 [4 per cell]
Pm: 0.049 0.250 0.598 [4 per cell]
Pm: 0.188 0.750 0.017 [4 per cell]
Pm: 0.250 0.250 0.802 [4 per cell]
Rh: 0.048 0.250 0.929 [4 per cell]
Rh: 0.108 0.250 0.380 [4 per cell]
Rh: 0.236 0.750 0.656 [4 per cell]